No. 1
# PrAlTl2Se4
Calculated X-ray powder pattern, Cu Kα (λ = 1.5418 Å). Input: a cell relaxed with GGA-PBE.
Intensities are scaled so that the largest is 100.

Most intense lines, 2θ = 10–90°, low angle first:
h k l  2θ/deg  I/Imax
0 2 2  24.70  18
0 0 4  29.25  50
2 2 0  29.43  100
2 1 3  32.44  20
2 2 4  41.97  69
4 0 4  53.50  20

Crystal structure
```
data_PrAlTl2Se4
_chemical_formula_sum 'Pr4 Al4 Tl8 Se16'
_symmetry_space_group_name_H-M 'I m m a'
_symmetry_Int_Tables_number 74
_symmetry_space_group_name_Hall '-I 2b 2'
_cell_length_a 8.2763
_cell_length_b 8.9307
_cell_length_c 12.2150
_cell_angle_alpha 90.00
_cell_angle_beta 90.00
_cell_angle_gamma 90.00
loop_
_atom_site_label
_atom_site_fract_x
_atom_site_fract_y
_atom_site_fract_z
Pr1 0.0000 0.0000 0.0000
Al1 0.2500 0.2500 0.2500
Tl1 0.0000 0.0000 0.5000
Tl2 0.2500 0.2500 0.7500
Se1 0.0000 0.0535 0.2447
Se2 0.2352 0.2500 0.0294
```


No. 2
# UTc3Sb5
Calculated X-ray powder pattern, Cu Kα (λ = 1.5418 Å). Input: a cell relaxed with GGA-PBE.
Intensities are scaled so that the largest is 100.

Most intense lines, 2θ = 10–90°, low angle first:
h k l  2θ/deg  I/Imax
0 2 0  19.70  59
2 2 1  29.92  100
0 0 3  30.63  49
4 0 -1  30.93  45
1 3 -4  49.69  39
5 3 -2  50.00  38

Crystal structure
```
data_UTc3Sb5
_chemical_formula_sum 'U4 Tc12 Sb20'
_symmetry_space_group_name_H-M 'C 1 2/m 1'
_symmetry_Int_Tables_number 12
_cell_length_a 11.5855
_cell_length_b 9.0143
_cell_length_c 9.4067
_cell_angle_alpha 90.00
_cell_angle_beta 111.43
_cell_angle_gamma 90.00
loop_
_symmetry_equiv_pos_as_xyz
'x,y,z'
'-x,-y,-z'
'-x,y,-z'
'x,-y,z'
'x+1/2,y+1/2,z'
'-x+1/2,-y+1/2,-z'
'-x+1/2,y+1/2,-z'
'x+1/2,-y+1/2,z'
loop_
_atom_site_label
_atom_site_fract_x
_atom_site_fract_y
_atom_site_fract_z
U1 0.1035 0.0000 0.3020
Tc1 0.0000 0.0000 0.0000
Tc2 0.0000 0.0000 0.5000
Tc3 0.1354 0.5000 0.1421
Tc4 0.1873 0.5000 0.6625
Sb1 0.0000 0.2823 0.0000
Sb2 0.0625 0.5000 0.3667
Sb3 0.1749 0.1907 0.6737
Sb4 0.2362 0.0000 0.0315
```


No. 3
# NaTi2Al5O12
Calculated X-ray powder pattern, Cu Kα (λ = 1.5418 Å). Input: a cell relaxed with GGA-PBE.
Intensities are scaled so that the largest is 100.

Most intense lines, 2θ = 10–90°, low angle first:
h k l  2θ/deg  I/Imax
0 2 0  11.40  43
1 2 0  14.96  35
2 4 0  30.18  100
2 0 1  36.30  39
2 3 1  40.40  52
0 0 2  63.25  39

Crystal structure
```
data_NaTi2Al5O12
_chemical_formula_sum 'Na2 Ti4 Al10 O24'
_symmetry_space_group_name_H-M 'P b a m'
_symmetry_Int_Tables_number 55
_cell_length_a 9.1629
_cell_length_b 15.5245
_cell_length_c 2.9406
_cell_angle_alpha 90.00
_cell_angle_beta 90.00
_cell_angle_gamma 90.00
loop_
_symmetry_equiv_pos_as_xyz
'x,y,z'
'-x,-y,-z'
'-x,-y,z'
'x,y,-z'
'x+1/2,-y+1/2,-z'
'-x+1/2,y+1/2,z'
'-x+1/2,y+1/2,-z'
'x+1/2,-y+1/2,z'
loop_
_atom_site_label
_atom_site_fract_x
_atom_site_fract_y
_atom_site_fract_z
Na1 0.0000 0.0000 0.0000
Ti1 0.2328 0.3572 0.0000
Al1 0.0000 0.5000 0.5000
Al2 0.0138 0.1989 0.5000
Al3 0.1877 0.6468 0.0000
O1 0.1045 0.7526 0.0000
O2 0.1075 0.4493 0.0000
O3 0.1175 0.1481 0.0000
O4 0.1308 0.8944 0.5000
O5 0.1322 0.5939 0.5000
O6 0.1417 0.2951 0.5000
```


No. 4
# UNi4Au8
Calculated X-ray powder pattern, Cu Kα (λ = 1.5418 Å). Input: a cell relaxed with GGA-PBE.
Intensities are scaled so that the largest is 100.

Most intense lines, 2θ = 10–90°, low angle first:
h k l  2θ/deg  I/Imax
0 0 2  33.73  44
3 0 1  34.12  51
3 2 1  39.64  100
4 0 0  39.75  43
2 2 2  44.27  46
6 3 1  72.08  33

Crystal structure
```
data_UNi4Au8
_chemical_formula_sum 'U2 Ni8 Au16'
_symmetry_space_group_name_H-M 'I 4/m m m'
_symmetry_Int_Tables_number 139
_symmetry_space_group_name_Hall '-I 4 2'
_cell_length_a 9.0696
_cell_length_b 9.0696
_cell_length_c 5.3138
_cell_angle_alpha 90.00
_cell_angle_beta 90.00
_cell_angle_gamma 90.00
loop_
_atom_site_label
_atom_site_fract_x
_atom_site_fract_y
_atom_site_fract_z
U1 0.0000 0.0000 0.0000
Ni1 0.2500 0.2500 0.2500
Au1 0.0000 0.2184 0.5000
Au2 0.0000 0.3349 0.0000
```


No. 5
# BaSrNd4O8
Calculated X-ray powder pattern, Cu Kα (λ = 1.5418 Å). Input: a cell relaxed with GGA-PBE.
Intensities are scaled so that the largest is 100.

Most intense lines, 2θ = 10–90°, low angle first:
h k l  2θ/deg  I/Imax
0 4 0  28.53  50
0 2 3  29.11  100
1 2 1  29.80  79
1 0 2  29.99  38
1 4 2  41.86  41
0 0 6  51.93  32

Crystal structure
```
data_BaSrNd4O8
_chemical_formula_sum 'Ba2 Sr2 Nd8 O16'
_symmetry_space_group_name_H-M 'P m c 21'
_symmetry_Int_Tables_number 26
_cell_length_a 3.6097
_cell_length_b 12.5167
_cell_length_c 10.5604
_cell_angle_alpha 90.00
_cell_angle_beta 90.00
_cell_angle_gamma 90.00
loop_
_symmetry_equiv_pos_as_xyz
'x,y,z'
'-x,-y,z+1/2'
'-x,y,z'
'x,-y,z+1/2'
loop_
_atom_site_label
_atom_site_fract_x
_atom_site_fract_y
_atom_site_fract_z
Ba1 0.0000 0.1023 0.0000
Sr1 0.5000 0.3931 0.5060
Nd1 0.0000 0.1448 0.3337
Nd2 0.0000 0.3642 0.8221
Nd3 0.5000 0.1364 0.6746
Nd4 0.5000 0.3668 0.1682
O1 0.0000 0.0295 0.7349
O2 0.0000 0.2679 0.6169
O3 0.0000 0.3366 0.3256
O4 0.0000 0.4295 0.0334
O5 0.5000 0.0776 0.4618
O6 0.5000 0.1784 0.1824
O7 0.5000 0.2330 0.8725
O8 0.5000 0.4584 0.7447
```